Starting from a cell relaxed with PBE, the X-ray diffraction stick pattern of V8Cr2Ge was simulated for λ = 1.5418 Å (Cu Kα).
Lines closer than 0.1° are merged.

Largest 6 diffraction maxima, low angle first, 2θ = 10–90°:
- 2θ = 21.3°, rel. 70
- 2θ = 37.5°, rel. 78
- 2θ = 41.4°, rel. 83
- 2θ = 43.3°, rel. 100
- 2θ = 44.4°, rel. 81
- 2θ = 45.8°, rel. 67

Structural model:
Cell: 8.3266 8.3548 4.7151 Å, 90.00 96.85 90.00°
Space group C2/m (No. 12)
Symmetry-distinct sites (fractional):
1 V 0.0840 0.0000 0.3393 (multiplicity 4)
2 V 0.1566 0.2560 0.7154 (multiplicity 8)
3 V 0.2046 0.0000 0.9295 (multiplicity 4)
4 Cr 0.1396 0.5000 0.4886 (multiplicity 4)
5 Ge 0.0000 0.5000 0.0000 (multiplicity 2)